Diffraction record for Ho6CoTe2. The X-ray powder pattern is computed, not measured: it uses a DFT-relaxed cell (PBE, the Materials Project) and Cu Kα.

Cell and atoms:
Cell lengths 8.3721, 8.3721, 3.9253 Å; angles 90.00, 90.00, 120.00 degrees
Space group P-62m (No. 189)
Inequivalent atoms, fractional coordinates:
Ho: 0.0000 0.3984 0.0000 [3 per cell]
Ho: 0.0000 0.7638 0.5000 [3 per cell]
Co: 0.0000 0.0000 0.0000 [1 per cell]
Te: 0.3333 0.6667 0.5000 [2 per cell]

Top 10 peaks for 10 to 80 degrees two-theta, low angle first:
2theta, I/Imax, index
31.24, 100, 1 1 1
32.68, 71, 2 1 0
33.65, 61, 2 0 1
37.20, 28, 3 0 0
40.13, 29, 2 1 1
46.26, 19, 0 0 2
51.03, 19, 3 1 1
57.78, 28, 2 1 2
60.45, 26, 3 2 1
63.38, 15, 4 1 1